(1)
Computed PXRD pattern of NiPd2Pt5 for Cu Kα, 1.54184 Å, from a structure optimized by DFT (GGA-PBE).
Peak positions follow from Bragg's law for the DFT cell and can differ from measured ones.

Cell and atoms:
```
data_NiPd2Pt5
_chemical_formula_sum 'Ni2 Pd4 Pt10'
_cell_length_a 3.9145
_cell_length_b 3.9145
_cell_length_c 15.7746
_cell_angle_alpha 90.00
_cell_angle_beta 90.00
_cell_angle_gamma 90.00
_symmetry_space_group_name_H-M 'I 4/m m m'
_symmetry_Int_Tables_number 139
_symmetry_space_group_name_Hall '-I 4 2'
loop_
_atom_site_label
_atom_site_fract_x
_atom_site_fract_y
_atom_site_fract_z
Ni1 0.0000 0.0000 0.0000
Pd1 0.0000 0.0000 0.2517
Pt1 0.0000 0.0000 0.5000
Pt2 0.0000 0.5000 0.1208
```

Principal peaks in the range 2θ from 10° to 90°, sorted by position:
2theta  d (Å)  Rel. int.  hkl
22.55  3.944  5.6  0 0 4
23.41  3.799  4.2  1 0 1
32.34  2.768  4.8  1 1 0
39.79  2.266  100.0  1 1 4
46.03  1.972  16.2  0 0 8
46.39  1.957  32.6  2 0 0
52.17  1.753  2.6  2 0 4
67.42  1.389  20.8  2 0 8
67.70  1.384  10.9  2 2 0
80.97  1.187  12.1  1 1 12
81.50  1.181  25.3  3 1 4
85.77  1.133  11.1  2 2 8

(2)
Computed PXRD pattern of Ni2Pd2Pt3 for Cu Kα, 1.54184 Å, from a structure optimized by DFT (GGA-PBE).
Peak positions follow from Bragg's law for the DFT cell and can differ from measured ones.

Cell and atoms:
```
data_Ni2Pd2Pt3
_chemical_formula_sum 'Ni4 Pd4 Pt6'
_cell_length_a 2.7039
_cell_length_b 4.0806
_cell_length_c 18.6028
_cell_angle_alpha 90.00
_cell_angle_beta 90.00
_cell_angle_gamma 90.00
_symmetry_space_group_name_H-M 'I m m m'
_symmetry_Int_Tables_number 71
_symmetry_space_group_name_Hall '-I 2 2'
loop_
_atom_site_label
_atom_site_fract_x
_atom_site_fract_y
_atom_site_fract_z
Ni1 0.0000 0.0000 0.1526
Pd1 0.0000 0.5000 0.0732
Pt1 0.0000 0.0000 0.2917
Pt2 0.0000 0.5000 0.5000
```

Principal peaks in the range 2θ from 10° to 90°, sorted by position:
2theta  d (Å)  Rel. int.  hkl
19.08  4.651  11.6  0 0 4
26.14  3.409  19.4  0 1 3
40.51  2.227  57.7  0 1 7
41.23  2.189  100.0  1 1 2
44.40  2.040  23.5  0 2 0
56.00  1.642  12.5  1 0 9
62.22  1.492  19.9  1 2 5
74.12  1.279  10.8  1 2 9
74.25  1.277  11.1  1 1 12
79.09  1.211  8.1  0 3 7
79.56  1.205  9.9  1 3 2
83.69  1.156  14.1  2 1 7

(3)
Computed PXRD pattern of Ni4Pd4Pt for Cu Kα, 1.54184 Å, from a structure optimized by DFT (GGA-PBE).
Peak positions follow from Bragg's law for the DFT cell and can differ from measured ones.

Cell and atoms:
```
data_Ni4Pd4Pt
_chemical_formula_sum 'Ni8 Pd8 Pt2'
_cell_length_a 8.1274
_cell_length_b 8.1274
_cell_length_c 3.7164
_cell_angle_alpha 90.00
_cell_angle_beta 90.00
_cell_angle_gamma 90.00
_symmetry_space_group_name_H-M 'I 4/m m m'
_symmetry_Int_Tables_number 139
_symmetry_space_group_name_Hall '-I 4 2'
loop_
_atom_site_label
_atom_site_fract_x
_atom_site_fract_y
_atom_site_fract_z
Ni1 0.1659 0.1659 0.0000
Pd1 0.0000 0.3261 0.5000
Pt1 0.0000 0.0000 0.5000
```

Principal peaks in the range 2θ from 10° to 90°, sorted by position:
2theta  d (Å)  Rel. int.  hkl
21.87  4.064  7.8  2 0 0
26.37  3.380  13.0  1 0 1
34.91  2.570  6.2  3 1 0
41.24  2.189  100.0  3 0 1
47.16  1.927  4.3  3 2 1
47.46  1.916  32.9  3 3 0
49.02  1.858  15.1  0 0 2
69.38  1.355  10.1  6 0 0
70.62  1.334  19.3  3 3 2
84.02  1.152  23.8  6 3 1
86.36  1.127  12.0  3 0 3
89.54  1.095  10.4  6 0 2

(4)
Computed PXRD pattern of NiPd8Pt3 for Cu Kα, 1.54184 Å, from a structure optimized by DFT (GGA-PBE).
Peak positions follow from Bragg's law for the DFT cell and can differ from measured ones.

Cell and atoms:
```
data_NiPd8Pt3
_chemical_formula_sum 'Ni2 Pd16 Pt6'
_cell_length_a 6.2710
_cell_length_b 6.2710
_cell_length_c 11.0218
_cell_angle_alpha 90.00
_cell_angle_beta 90.00
_cell_angle_gamma 90.00
_symmetry_space_group_name_H-M 'I 4/m m m'
_symmetry_Int_Tables_number 139
_symmetry_space_group_name_Hall '-I 4 2'
loop_
_atom_site_label
_atom_site_fract_x
_atom_site_fract_y
_atom_site_fract_z
Ni1 0.0000 0.0000 0.0000
Pd1 0.2409 0.2409 0.1224
Pt1 0.0000 0.0000 0.5000
Pt2 0.0000 0.5000 0.2500
```

Principal peaks in the range 2θ from 10° to 90°, sorted by position:
2theta  d (Å)  Rel. int.  hkl
25.79  3.455  74.5  1 1 2
32.93  2.720  7.4  2 1 1
40.69  2.217  61.1  2 2 0
43.73  2.070  100.0  2 0 4
48.81  1.866  26.8  3 1 2
54.03  1.697  9.9  1 1 6
58.91  1.568  20.1  4 0 0
68.05  1.378  6.6  0 0 8
69.79  1.348  9.3  3 1 6
76.18  1.250  37.1  4 2 4
82.42  1.170  15.4  2 2 8
88.12  1.109  6.5  4 4 0